# 1
Diffraction record for LaFe9. The X-ray powder pattern is computed, not measured: it uses a structure optimized by DFT (GGA-PBE) and λ = 1.5418 Å (Cu Kα).
Lines closer than 0.1° are merged.

Structural model:
Cell: 12.000 7.577 8.486 Å, 90.00 135.00 90.00°
Space group C2/m (No. 12)
Symmetry-distinct sites (fractional):
La  0.000  0.250  0.000 x4
Fe  0.000  0.000  0.500 x2
Fe  0.000  0.500  0.500 x2
Fe  0.080  0.000  0.305 x4
Fe  0.080  0.500  0.856 x4
Fe  0.156  0.191  0.813 x8
Fe  0.157  0.311  0.500 x8
Fe  0.224  0.000  0.144 x4
Fe  0.225  0.500  0.304 x4

Most intense lines, 5° ≤ 2θ ≤ 70°, in order of rising 2θ:
- (0 2 1), 27.85°, d = 3.203 Å, rel. 155
- (0 0 2), 29.78°, d = 3.000 Å, rel. 66
- (2 0 -3), 33.39°, d = 2.683 Å, rel. 204
- (4 2 -2), 38.27°, d = 2.352 Å, rel. 276
- (1 1 -3), 40.12°, d = 2.248 Å, rel. 189
- (2 2 -3), 41.23°, d = 2.190 Å, rel. 1000
- (3 3 -2), 43.02°, d = 2.103 Å, rel. 463
- (3 1 -4), 45.68°, d = 1.986 Å, rel. 235
- (0 4 0), 47.97°, d = 1.897 Å, rel. 498
- (6 0 0), 66.11°, d = 1.413 Å, rel. 83

# 2
Diffraction record for La3MnFeS7. The X-ray powder pattern is computed, not measured: it uses a structure optimized by DFT (GGA-PBE) and λ = 1.5418 Å (Cu Kα).
Lines closer than 0.1° are merged.

Structural model:
Cell: 10.2579 10.2579 6.0396 Å, 90.00 90.00 120.00°
Space group P6_3 (No. 173)
Symmetry-distinct sites (fractional):
La  0.1405  0.7644  0.0000 x6
Mn  0.0000  0.0000  0.2760 x2
Fe  0.3333  0.6667  0.4148 x2
S  0.0882  0.8540  0.5382 x6
S  0.1007  0.5178  0.2734 x6
S  0.3333  0.6667  0.7854 x2

Most intense lines, 5° ≤ 2θ ≤ 70°, in order of rising 2θ:
- (1 0 1), 17.76°, d = 4.995 Å, rel. 270
- (1 1 1), 22.75°, d = 3.909 Å, rel. 304
- (2 0 1), 24.88°, d = 3.578 Å, rel. 1000
- (2 1 0), 26.55°, d = 3.358 Å, rel. 349
- (3 0 1), 33.71°, d = 2.659 Å, rel. 392
- (2 2 0), 34.99°, d = 2.564 Å, rel. 355
- (2 0 2), 35.96°, d = 2.497 Å, rel. 419
- (1 3 1), 39.50°, d = 2.281 Å, rel. 364
- (2 1 2), 40.16°, d = 2.245 Å, rel. 316
- (4 1 1), 49.37°, d = 1.846 Å, rel. 263

# 3
Diffraction record for La2Mn3FeSi4. The X-ray powder pattern is computed, not measured: it uses a structure optimized by DFT (GGA-PBE) and λ = 1.5418 Å (Cu Kα).
Lines closer than 0.1° are merged.

Structural model:
Cell: 4.017 4.017 10.534 Å, 90.00 90.00 90.00°
Space group P-4m2 (No. 115)
Symmetry-distinct sites (fractional):
La  0.000  0.500  0.248 x2
Mn  0.000  0.000  0.000 x1
Mn  0.000  0.000  0.500 x1
Mn  0.500  0.500  0.500 x1
Fe  0.500  0.500  0.000 x1
Si  0.000  0.500  0.622 x2
Si  0.000  0.500  0.882 x2

Most intense lines, 5° ≤ 2θ ≤ 70°, in order of rising 2θ:
- (1 0 1), 23.70°, d = 3.754 Å, rel. 440
- (1 0 3), 33.91°, d = 2.644 Å, rel. 629
- (0 0 4), 34.04°, d = 2.633 Å, rel. 178
- (1 1 2), 35.92°, d = 2.500 Å, rel. 1000
- (2 0 0), 45.14°, d = 2.009 Å, rel. 398
- (1 0 5), 48.81°, d = 1.866 Å, rel. 196
- (2 0 4), 57.66°, d = 1.599 Å, rel. 416
- (1 1 6), 62.16°, d = 1.493 Å, rel. 212
- (2 2 0), 65.74°, d = 1.420 Å, rel. 124
- (2 1 5), 68.66°, d = 1.367 Å, rel. 140

Repeat the third record exactly.
Diffraction record for La2Mn3FeSi4. The X-ray powder pattern is computed, not measured: it uses a structure optimized by DFT (GGA-PBE) and λ = 1.5418 Å (Cu Kα).
Lines closer than 0.1° are merged.

Structural model:
Cell: 4.017 4.017 10.534 Å, 90.00 90.00 90.00°
Space group P-4m2 (No. 115)
Symmetry-distinct sites (fractional):
La  0.000  0.500  0.248 x2
Mn  0.000  0.000  0.000 x1
Mn  0.000  0.000  0.500 x1
Mn  0.500  0.500  0.500 x1
Fe  0.500  0.500  0.000 x1
Si  0.000  0.500  0.622 x2
Si  0.000  0.500  0.882 x2

Most intense lines, 5° ≤ 2θ ≤ 70°, in order of rising 2θ:
- (1 0 1), 23.70°, d = 3.754 Å, rel. 440
- (1 0 3), 33.91°, d = 2.644 Å, rel. 629
- (0 0 4), 34.04°, d = 2.633 Å, rel. 178
- (1 1 2), 35.92°, d = 2.500 Å, rel. 1000
- (2 0 0), 45.14°, d = 2.009 Å, rel. 398
- (1 0 5), 48.81°, d = 1.866 Å, rel. 196
- (2 0 4), 57.66°, d = 1.599 Å, rel. 416
- (1 1 6), 62.16°, d = 1.493 Å, rel. 212
- (2 2 0), 65.74°, d = 1.420 Å, rel. 124
- (2 1 5), 68.66°, d = 1.367 Å, rel. 140

What did the first record say?
Diffraction record for LaFe9. The X-ray powder pattern is computed, not measured: it uses a structure optimized by DFT (GGA-PBE) and λ = 1.5418 Å (Cu Kα).
Lines closer than 0.1° are merged.

Structural model:
Cell: 12.000 7.577 8.486 Å, 90.00 135.00 90.00°
Space group C2/m (No. 12)
Symmetry-distinct sites (fractional):
La  0.000  0.250  0.000 x4
Fe  0.000  0.000  0.500 x2
Fe  0.000  0.500  0.500 x2
Fe  0.080  0.000  0.305 x4
Fe  0.080  0.500  0.856 x4
Fe  0.156  0.191  0.813 x8
Fe  0.157  0.311  0.500 x8
Fe  0.224  0.000  0.144 x4
Fe  0.225  0.500  0.304 x4

Most intense lines, 5° ≤ 2θ ≤ 70°, in order of rising 2θ:
- (0 2 1), 27.85°, d = 3.203 Å, rel. 155
- (0 0 2), 29.78°, d = 3.000 Å, rel. 66
- (2 0 -3), 33.39°, d = 2.683 Å, rel. 204
- (4 2 -2), 38.27°, d = 2.352 Å, rel. 276
- (1 1 -3), 40.12°, d = 2.248 Å, rel. 189
- (2 2 -3), 41.23°, d = 2.190 Å, rel. 1000
- (3 3 -2), 43.02°, d = 2.103 Å, rel. 463
- (3 1 -4), 45.68°, d = 1.986 Å, rel. 235
- (0 4 0), 47.97°, d = 1.897 Å, rel. 498
- (6 0 0), 66.11°, d = 1.413 Å, rel. 83